No. 1
The following is a simulated powder diffraction line list of CeHo2Zn3. It was derived from the GGA-PBE geometry in Alexandria, using λ = 1.5418 Å (Cu Kα).
Kinematic intensities with the Lorentz-polarization factor, no thermal factor.

Cell and atoms:
Unit cell a=3.544 b=3.544 c=10.895 alpha=90.00 beta=90.00 gamma=90.00
Space group P4/mmm (No. 123)
Symmetry-distinct sites (fractional):
Ce (0.000, 0.000, 0.000) (multiplicity 1)
Ho (0.000, 0.000, 0.337) (multiplicity 2)
Zn (0.500, 0.500, 0.178) (multiplicity 2)
Zn (0.500, 0.500, 0.500) (multiplicity 1)

Largest 12 diffraction maxima, in order of rising 2θ, 10° ≤ 2θ ≤ 80°:
2theta	Rel. int.	h k l
24.5	9	0 0 3
25.1	16	1 0 0
35.4	100	1 0 3
35.8	49	1 1 0
43.9	8	1 1 3
50.2	9	0 0 6
51.6	17	2 0 0
57.0	4	1 0 6
63.2	17	1 1 6
64.1	35	2 1 3
74.9	11	2 0 6
75.9	5	2 2 0

=====

No. 2
The following is a simulated powder diffraction line list of TmTlCl4. It was derived from the GGA-PBE geometry in Alexandria, using λ = 1.5418 Å (Cu Kα).
Kinematic intensities with the Lorentz-polarization factor, no thermal factor.

Cell and atoms:
Unit cell a=4.051 b=6.623 c=8.211 alpha=104.64 beta=90.01 gamma=107.65
Space group P-1 (No. 2)
Symmetry-distinct sites (fractional):
Tm (0.000, 0.000, 0.000) (multiplicity 1)
Tl (0.500, 0.000, 0.500) (multiplicity 1)
Cl (0.117, 0.237, 0.306) (multiplicity 2)
Cl (0.385, 0.768, 0.078) (multiplicity 2)

Largest 12 diffraction maxima, in order of rising 2θ, 10° ≤ 2θ ≤ 80°:
2theta	Rel. int.	h k l
14.6	100	0 1 0
22.5	31	0 0 2
23.3	15	0 1 -2
24.9	54	1 -1 1
26.6	17	1 0 1
30.0	28	0 1 2
31.1	30	1 1 -1
31.2	28	1 -2 1
35.2	19	-1 2 1
39.8	21	1 0 -3
42.0	21	0 2 2
44.7	15	2 -1 0

=====

No. 3
The following is a simulated powder diffraction line list of Rb3Tm3RuO8. It was derived from the GGA-PBE geometry in Alexandria, using λ = 1.5418 Å (Cu Kα).
Kinematic intensities with the Lorentz-polarization factor, no thermal factor.

Cell and atoms:
Unit cell a=6.6990 b=6.6990 c=19.7161 alpha=90.00 beta=90.00 gamma=120.00
Space group R-3m (No. 166, hexagonal axes)
Symmetry-distinct sites (fractional):
Rb (0.0000, 0.5000, 0.0000) (multiplicity 9)
Tm (0.0000, 0.5000, 0.5000) (multiplicity 9)
Ru (0.0000, 0.0000, 0.5000) (multiplicity 3)
O (0.0000, 0.0000, 0.2232) (multiplicity 6)
O (0.0221, 0.5111, 0.2213) (multiplicity 18)

Largest 12 diffraction maxima, in order of rising 2θ, 10° ≤ 2θ ≤ 80°:
2theta	Rel. int.	h k l
13.5	68	0 0 3
17.7	13	0 1 2
27.1	48	0 0 6
31.2	16	0 2 1
32.2	79	2 0 2
35.9	100	0 2 4
44.9	12	0 2 7
48.5	36	2 0 8
54.8	30	2 2 0
56.4	23	0 2 10
62.2	29	2 2 6
67.3	15	4 0 4

=====

No. 4
The following is a simulated powder diffraction line list of Ni11As8. It was derived from the GGA-PBE geometry in Alexandria, using λ = 1.5418 Å (Cu Kα).
Kinematic intensities with the Lorentz-polarization factor, no thermal factor.

Cell and atoms:
Unit cell a=9.758 b=9.765 c=11.219 alpha=90.00 beta=102.36 gamma=90.00
Space group C2/c (No. 15)
Symmetry-distinct sites (fractional):
Ni (0.000, 0.189, 0.250) (multiplicity 4)
Ni (0.056, 0.404, 0.593) (multiplicity 8)
Ni (0.112, 0.034, 0.094) (multiplicity 8)
Ni (0.132, 0.217, 0.907) (multiplicity 8)
Ni (0.193, 0.339, 0.407) (multiplicity 8)
Ni (0.240, 0.437, 0.213) (multiplicity 8)
As (0.000, 0.067, 0.750) (multiplicity 4)
As (0.000, 0.442, 0.250) (multiplicity 4)
As (0.061, 0.187, 0.493) (multiplicity 8)
As (0.187, 0.437, 0.999) (multiplicity 8)
As (0.245, 0.312, 0.750) (multiplicity 8)

Largest 12 diffraction maxima, in order of rising 2θ, 10° ≤ 2θ ≤ 80°:
2theta	Rel. int.	h k l
32.7	17	0 0 4
33.0	100	2 2 -3
37.8	24	0 4 1
44.6	90	0 4 3
44.7	30	4 0 -4
47.5	26	5 1 -1
47.9	22	1 5 -1
48.7	17	1 5 1
49.3	19	3 1 4
53.0	17	2 2 5
53.1	79	4 4 -1
78.3	14	0 8 0

=====

No. 5
The following is a simulated powder diffraction line list of YMgNF2. It was derived from the GGA-PBE geometry in Alexandria, using λ = 1.5418 Å (Cu Kα).
Kinematic intensities with the Lorentz-polarization factor, no thermal factor.

Cell and atoms:
Unit cell a=3.690 b=3.690 c=4.588 alpha=90.00 beta=90.00 gamma=90.00
Space group P4/mmm (No. 123)
Symmetry-distinct sites (fractional):
Y (0.000, 0.000, 0.000) (multiplicity 1)
Mg (0.500, 0.500, 0.500) (multiplicity 1)
N (0.500, 0.500, 0.000) (multiplicity 1)
F (0.000, 0.500, 0.500) (multiplicity 2)

Largest 12 diffraction maxima, in order of rising 2θ, 10° ≤ 2θ ≤ 80°:
2theta	Rel. int.	h k l
19.3	12	0 0 1
24.1	23	1 0 0
31.1	100	1 0 1
34.4	30	1 1 0
39.3	35	0 0 2
39.7	65	1 1 1
49.4	34	2 0 0
53.2	17	1 1 2
59.5	32	2 1 1
64.9	27	2 0 2
66.1	11	1 0 3
72.4	9	2 2 0

=====

No. 6
The following is a simulated powder diffraction line list of Ce3I2Br4. It was derived from the GGA-PBE geometry in Alexandria, using λ = 1.5418 Å (Cu Kα).
Kinematic intensities with the Lorentz-polarization factor, no thermal factor.

Cell and atoms:
Unit cell a=4.1314 b=4.1314 c=23.6213 alpha=90.00 beta=90.00 gamma=120.00
Space group P3m1 (No. 156)
Symmetry-distinct sites (fractional):
Ce (0.0000, 0.0000, 0.0000) (multiplicity 1)
Ce (0.0000, 0.0000, 0.3531) (multiplicity 1)
Ce (0.6667, 0.3333, 0.6671) (multiplicity 1)
I (0.6667, 0.3333, 0.0909) (multiplicity 1)
I (0.6667, 0.3333, 0.9091) (multiplicity 1)
Br (0.0000, 0.0000, 0.5874) (multiplicity 1)
Br (0.0000, 0.0000, 0.7468) (multiplicity 1)
Br (0.6667, 0.3333, 0.2733) (multiplicity 1)
Br (0.6667, 0.3333, 0.4328) (multiplicity 1)

Largest 12 diffraction maxima, in order of rising 2θ, 10° ≤ 2θ ≤ 80°:
2theta	Rel. int.	h k l
11.2	71	0 0 3
24.9	57	1 0 0
27.4	21	0 1 3
29.2	31	1 0 4
31.4	100	0 1 5
33.9	20	1 0 6
36.6	14	1 0 7
39.6	34	1 0 8
43.8	47	1 1 0
54.9	20	2 0 5
65.5	16	1 1 12
72.7	17	1 2 5

=====

No. 7
The following is a simulated powder diffraction line list of MgBe2Ga. It was derived from the GGA-PBE geometry in Alexandria, using λ = 1.5418 Å (Cu Kα).
Kinematic intensities with the Lorentz-polarization factor, no thermal factor.

Cell and atoms:
Unit cell a=4.140 b=4.140 c=15.535 alpha=90.00 beta=90.00 gamma=90.00
Space group I4_1/amd (No. 141, origin choice 2)
Symmetry-distinct sites (fractional):
Mg (0.000, 0.250, 0.375) (multiplicity 4)
Be (0.000, 0.000, 0.000) (multiplicity 8)
Ga (0.000, 0.250, 0.875) (multiplicity 4)

Largest 12 diffraction maxima, in order of rising 2θ, 10° ≤ 2θ ≤ 80°:
2theta	Rel. int.	h k l
22.2	44	1 0 1
22.9	46	0 0 4
27.6	11	1 0 3
32.7	100	1 1 2
43.7	22	2 0 0
46.8	47	0 0 8
49.9	29	2 0 4
52.5	8	2 1 3
66.0	12	2 0 8
68.4	11	1 1 10
68.5	14	2 2 4
73.3	18	3 1 2

=====

No. 8
The following is a simulated powder diffraction line list of Cd4Ag5. It was derived from the GGA-PBE geometry in Alexandria, using λ = 1.5418 Å (Cu Kα).
Kinematic intensities with the Lorentz-polarization factor, no thermal factor.

Cell and atoms:
Unit cell a=10.344 b=9.443 c=3.814 alpha=90.00 beta=111.46 gamma=90.00
Space group C2/m (No. 12)
Symmetry-distinct sites (fractional):
Cd (0.165, 0.166, 0.165) (multiplicity 8)
Ag (0.000, 0.000, 0.500) (multiplicity 2)
Ag (0.000, 0.337, 0.500) (multiplicity 4)
Ag (0.164, 0.500, 0.164) (multiplicity 4)

Largest 12 diffraction maxima, in order of rising 2θ, 10° ≤ 2θ ≤ 80°:
2theta	Rel. int.	h k l
36.5	52	2 0 1
36.7	51	4 0 -1
37.0	100	1 3 -1
40.1	79	3 3 0
47.7	24	2 0 -2
57.4	13	6 0 0
64.0	19	1 3 2
64.1	19	5 3 -2
70.3	14	5 3 1
70.4	14	7 3 -1
71.1	14	2 6 1
71.2	13	4 6 -1

=====

No. 9
The following is a simulated powder diffraction line list of GeI4. It was derived from the GGA-PBE geometry in Alexandria, using λ = 1.5418 Å (Cu Kα).
Kinematic intensities with the Lorentz-polarization factor, no thermal factor.

Cell and atoms:
Unit cell a=12.923 b=12.923 c=12.923 alpha=90.00 beta=90.00 gamma=90.00
Space group Pa-3 (No. 205)
Symmetry-distinct sites (fractional):
Ge (0.135, 0.135, 0.135) (multiplicity 8)
I (0.007, 0.248, 0.037) (multiplicity 24)
I (0.248, 0.248, 0.248) (multiplicity 8)

Largest 12 diffraction maxima, in order of rising 2θ, 10° ≤ 2θ ≤ 80°:
2theta	Rel. int.	h k l
15.3	10	2 1 0
16.8	28	2 1 1
23.9	100	2 2 2
27.6	35	4 0 0
29.3	7	4 1 1
35.4	12	4 3 1
39.4	41	4 4 0
43.2	7	5 2 3
46.6	31	6 2 2
47.7	11	6 3 1
56.0	7	6 1 5
62.7	7	6 6 2

=====

No. 10
The following is a simulated powder diffraction line list of Ba2InSb2. It was derived from the GGA-PBE geometry in Alexandria, using λ = 1.5418 Å (Cu Kα).
Kinematic intensities with the Lorentz-polarization factor, no thermal factor.

Cell and atoms:
Unit cell a=4.895 b=18.198 c=9.265 alpha=90.00 beta=90.00 gamma=90.00
Space group Cmc2_1 (No. 36)
Symmetry-distinct sites (fractional):
Ba (0.000, 0.036, 0.000) (multiplicity 4)
Ba (0.000, 0.200, 0.361) (multiplicity 4)
In (0.000, 0.408, 0.145) (multiplicity 4)
Sb (0.000, 0.174, 0.736) (multiplicity 4)
Sb (0.000, 0.443, 0.789) (multiplicity 4)

Largest 12 diffraction maxima, in order of rising 2θ, 10° ≤ 2θ ≤ 80°:
2theta	Rel. int.	h k l
13.6	25	0 2 1
21.5	20	0 2 2
23.4	20	1 3 0
25.3	70	1 3 1
26.9	44	1 1 2
30.4	76	1 3 2
30.6	100	1 5 0
32.1	20	1 5 1
34.7	30	1 1 3
35.1	27	0 4 3
36.7	45	2 0 0
49.5	22	1 7 3

=====

No. 11
The following is a simulated powder diffraction line list of LaP3H6O12. It was derived from the GGA-PBE geometry in Alexandria, using λ = 1.5418 Å (Cu Kα).
Kinematic intensities with the Lorentz-polarization factor, no thermal factor.

Cell and atoms:
Unit cell a=6.8045 b=6.8045 c=6.2069 alpha=90.00 beta=90.00 gamma=120.00
Space group P-6 (No. 174)
Symmetry-distinct sites (fractional):
La (0.0000, 0.0000, 0.0000) (multiplicity 1)
P (0.3886, 0.1106, 0.5000) (multiplicity 3)
H (0.0400, 0.5470, 0.1243) (multiplicity 6)
O (0.0369, 0.6341, 0.0000) (multiplicity 3)
O (0.2705, 0.0108, 0.2909) (multiplicity 6)
O (0.4787, 0.3798, 0.5000) (multiplicity 3)

Largest 12 diffraction maxima, in order of rising 2θ, 10° ≤ 2θ ≤ 80°:
2theta	Rel. int.	h k l
15.0	87	1 0 0
20.8	100	1 0 1
28.8	19	0 0 2
30.0	60	1 1 1
30.3	18	2 0 0
33.7	39	2 0 1
39.3	14	1 1 2
40.5	22	2 1 0
42.3	24	2 0 2
43.2	19	1 2 1
46.5	15	1 0 3
50.4	29	2 1 2

=====

No. 12
The following is a simulated powder diffraction line list of Cd3Au4. It was derived from the GGA-PBE geometry in Alexandria, using λ = 1.5418 Å (Cu Kα).
Kinematic intensities with the Lorentz-polarization factor, no thermal factor.

Cell and atoms:
Unit cell a=3.263 b=3.829 c=21.570 alpha=90.00 beta=90.00 gamma=90.00
Space group Immm (No. 71)
Symmetry-distinct sites (fractional):
Cd (0.000, 0.000, 0.000) (multiplicity 2)
Cd (0.000, 0.000, 0.145) (multiplicity 4)
Au (0.000, 0.000, 0.285) (multiplicity 4)
Au (0.000, 0.000, 0.428) (multiplicity 4)

Largest 12 diffraction maxima, in order of rising 2θ, 10° ≤ 2θ ≤ 80°:
2theta	Rel. int.	h k l
23.6	8	0 1 1
36.2	100	1 1 0
37.5	91	0 1 7
40.3	74	1 0 7
47.5	23	0 2 0
56.4	14	2 0 0
60.0	11	0 0 14
64.0	38	1 2 7
69.7	29	2 1 7
72.1	26	1 1 14
76.7	11	2 2 0
79.9	10	0 2 14

=====

What did the eleventh record say?
The following is a simulated powder diffraction line list of LaP3H6O12. It was derived from the GGA-PBE geometry in Alexandria, using λ = 1.5418 Å (Cu Kα).
Kinematic intensities with the Lorentz-polarization factor, no thermal factor.

Cell and atoms:
Unit cell a=6.8045 b=6.8045 c=6.2069 alpha=90.00 beta=90.00 gamma=120.00
Space group P-6 (No. 174)
Symmetry-distinct sites (fractional):
La (0.0000, 0.0000, 0.0000) (multiplicity 1)
P (0.3886, 0.1106, 0.5000) (multiplicity 3)
H (0.0400, 0.5470, 0.1243) (multiplicity 6)
O (0.0369, 0.6341, 0.0000) (multiplicity 3)
O (0.2705, 0.0108, 0.2909) (multiplicity 6)
O (0.4787, 0.3798, 0.5000) (multiplicity 3)

Largest 12 diffraction maxima, in order of rising 2θ, 10° ≤ 2θ ≤ 80°:
2theta	Rel. int.	h k l
15.0	87	1 0 0
20.8	100	1 0 1
28.8	19	0 0 2
30.0	60	1 1 1
30.3	18	2 0 0
33.7	39	2 0 1
39.3	14	1 1 2
40.5	22	2 1 0
42.3	24	2 0 2
43.2	19	1 2 1
46.5	15	1 0 3
50.4	29	2 1 2